Calculated powder diffraction line list of Ce3SnO8 for a wavelength of 1.5418 Å, from a cell relaxed with GGA-PBE.
Peak positions follow from Bragg's law for the DFT cell and can differ from measured ones.

Main lines, by angle (2θ from 10° to 90°):
| (hkl) | 2θ/deg | d [Å] | I_rel |
| --- | --- | --- | --- |
| 1 0 2 | 28.64 | 3.117 | 1000 |
| 1 1 0 | 33.22 | 2.696 | 190 |
| 2 0 0 | 47.64 | 1.909 | 552 |
| 1 0 6 | 56.44 | 1.630 | 149 |
| 2 1 2 | 56.58 | 1.627 | 298 |
| 2 1 6 | 76.94 | 1.239 | 121 |

Cell and atoms:
Unit cell a=3.813 b=3.813 c=10.822 alpha=90.00 beta=90.00 gamma=90.00
Space group P4/mmm (No. 123)
Inequivalent atoms, fractional coordinates:
Ce  0.000  0.000  0.000 x1
Ce  0.500  0.500  0.254 x2
Sn  0.000  0.000  0.500 x1
O  0.000  0.500  0.127 x4
O  0.000  0.500  0.383 x4